(1)
Calculated X-ray diffraction stick pattern of Zn4Te3O for a wavelength of 1.5418 Å, from a structure optimized by DFT (GGA-PBE).

Structural model:
```
data_Zn4Te3O
_chemical_formula_sum 'Zn4 Te3 O1'
_symmetry_space_group_name_H-M 'P 1'
_symmetry_Int_Tables_number 1
_cell_length_a 13.629
_cell_length_b 13.629
_cell_length_c 13.629
_cell_angle_alpha 17.60
_cell_angle_beta 17.60
_cell_angle_gamma 17.60
loop_
_symmetry_equiv_pos_as_xyz
'x,y,z'
loop_
_atom_site_label
_atom_site_type_symbol
_atom_site_fract_x
_atom_site_fract_y
_atom_site_fract_z
Zn1 Zn 0.000 0.000 0.000
Zn2 Zn 0.241 0.241 0.241
Zn3 Zn 0.483 0.483 0.483
Zn4 Zn 0.725 0.725 0.725
Te1 Te 0.306 0.306 0.306
Te2 Te 0.549 0.549 0.549
Te3 Te 0.791 0.791 0.791
O1 O 0.048 0.048 0.048
```

The 6 most intense peaks (10 to 90 degrees two-theta), by intensity:
2theta, I_rel
26.22, 100
43.41, 50
43.87, 26
38.30, 25
26.58, 22
51.62, 20

(2)
Calculated X-ray diffraction stick pattern of Th3O2 for a wavelength of 1.5418 Å, from a structure optimized by DFT (GGA-PBE).

Structural model:
```
data_Th3O2
_chemical_formula_sum 'Th6 O4'
_symmetry_space_group_name_H-M 'P 1'
_symmetry_Int_Tables_number 1
_cell_length_a 6.933
_cell_length_b 6.933
_cell_length_c 6.933
_cell_angle_alpha 55.02
_cell_angle_beta 55.02
_cell_angle_gamma 55.02
loop_
_symmetry_equiv_pos_as_xyz
'x,y,z'
loop_
_atom_site_label
_atom_site_type_symbol
_atom_site_fract_x
_atom_site_fract_y
_atom_site_fract_z
Th1 Th 0.083 0.750 0.417
Th2 Th 0.250 0.583 0.917
Th3 Th 0.417 0.083 0.750
Th4 Th 0.583 0.917 0.250
Th5 Th 0.750 0.417 0.083
Th6 Th 0.917 0.250 0.583
O1 O 0.162 0.162 0.162
O2 O 0.338 0.338 0.338
O3 O 0.662 0.662 0.662
O4 O 0.838 0.838 0.838
```

The 6 most intense peaks (10 to 90 degrees two-theta), by intensity:
2theta, I_rel
31.84, 100
30.49, 22
59.07, 22
55.04, 22
49.29, 22
41.77, 19